Calculated PXRD pattern
Compound: SmTaTc
Radiation: Cu Kα (weighted mean of Kα1 and Kα2)
Structure: a cell relaxed with GGA-PBE

Lattice parameters (Å, degrees): 6.4571 6.4571 6.4571 90.00 90.00 90.00
Positions (direct):
Sm (0.0000, 0.0000, 0.0000)
Sm (0.0000, 0.5000, 0.5000)
Sm (0.5000, 0.0000, 0.5000)
Sm (0.5000, 0.5000, 0.0000)
Ta (0.2500, 0.2500, 0.7500)
Ta (0.2500, 0.7500, 0.2500)
Ta (0.7500, 0.2500, 0.2500)
Ta (0.7500, 0.7500, 0.7500)
Tc (0.2500, 0.2500, 0.2500)
Tc (0.2500, 0.7500, 0.7500)
Tc (0.7500, 0.2500, 0.7500)
Tc (0.7500, 0.7500, 0.2500)

Main lines, in order of rising 2θ (2θ from 10° to 80°):
| d_spacing | 2θ (°) | Rel. int. |
| --- | --- | --- |
| 3.728 | 23.9 | 38 |
| 3.229 | 27.6 | 12 |
| 2.283 | 39.5 | 100 |
| 1.947 | 46.7 | 19 |
| 1.864 | 48.9 | 3 |
| 1.614 | 57.1 | 17 |
| 1.481 | 62.7 | 8 |
| 1.444 | 64.5 | 4 |
| 1.318 | 71.6 | 35 |
| 1.243 | 76.7 | 6 |

Calculated PXRD pattern
Compound: Ni5As2
Radiation: Cu Kα (weighted mean of Kα1 and Kα2)
Structure: a cell relaxed with GGA-PBE

Lattice parameters (Å, degrees): 6.8075 6.8075 12.5115 90.00 90.00 120.00
Positions (direct):
Ni (0.0000, 0.0000, 0.0179)
Ni (0.0000, 0.0000, 0.5179)
Ni (0.0000, 0.2519, 0.6894)
Ni (0.0000, 0.3100, 0.8967)
Ni (0.0000, 0.3749, 0.2878)
Ni (0.0000, 0.3747, 0.5000)
Ni (0.0000, 0.6253, 0.0000)
Ni (0.0000, 0.6251, 0.7878)
Ni (0.0000, 0.6900, 0.3967)
Ni (0.0000, 0.7481, 0.1894)
Ni (0.2519, 0.0000, 0.6894)
Ni (0.2519, 0.2519, 0.1894)
Ni (0.3100, 0.0000, 0.8967)
Ni (0.3100, 0.3100, 0.3967)
Ni (0.3333, 0.6667, 0.1629)
Ni (0.3333, 0.6667, 0.6629)
Ni (0.3749, 0.0000, 0.2878)
Ni (0.3747, 0.0000, 0.5000)
Ni (0.3747, 0.3747, 0.0000)
Ni (0.3749, 0.3749, 0.7878)
Ni (0.6253, 0.0000, 0.0000)
Ni (0.6251, 0.0000, 0.7878)
Ni (0.6251, 0.6251, 0.2878)
Ni (0.6253, 0.6253, 0.5000)
Ni (0.6667, 0.3333, 0.1629)
Ni (0.6667, 0.3333, 0.6629)
Ni (0.6900, 0.0000, 0.3967)
Ni (0.6900, 0.6900, 0.8967)
Ni (0.7481, 0.0000, 0.1894)
Ni (0.7481, 0.7481, 0.6894)
As (0.0000, 0.0000, 0.3221)
As (0.0000, 0.0000, 0.8221)
As (0.0000, 0.3307, 0.0910)
As (0.0000, 0.6693, 0.5910)
As (0.3307, 0.0000, 0.0910)
As (0.3307, 0.3307, 0.5910)
As (0.3333, 0.6667, 0.3644)
As (0.3333, 0.6667, 0.8644)
As (0.6667, 0.3333, 0.3644)
As (0.6667, 0.3333, 0.8644)
As (0.6693, 0.0000, 0.5910)
As (0.6693, 0.6693, 0.0910)

Main lines, in order of rising 2θ (2θ from 10° to 80°):
| d_spacing | 2θ (°) | Rel. int. |
| --- | --- | --- |
| 2.990 | 29.9 | 9 |
| 2.194 | 41.1 | 17 |
| 2.145 | 42.1 | 25 |
| 2.016 | 45.0 | 88 |
| 1.965 | 46.2 | 100 |
| 1.815 | 50.3 | 13 |
| 1.778 | 51.4 | 14 |
| 1.664 | 55.2 | 7 |
| 1.407 | 66.4 | 15 |
| 1.241 | 76.8 | 10 |

Calculated PXRD pattern
Compound: TbPr2Ni2B2N3
Radiation: Cu Kα (weighted mean of Kα1 and Kα2)
Structure: a cell relaxed with GGA-PBE

Lattice parameters (Å, degrees): 10.4033 10.4033 10.4033 160.01 160.01 28.41
Positions (direct):
Tb (0.0000, 0.0000, 0.0000)
Pr (0.3750, 0.3750, 0.0000)
Pr (0.6250, 0.6250, 0.0000)
Ni (0.2500, 0.7500, 0.5000)
Ni (0.7500, 0.2500, 0.5000)
B (0.1913, 0.1913, 0.0000)
B (0.8087, 0.8087, 0.0000)
N (0.1191, 0.1191, 0.0000)
N (0.5000, 0.5000, 0.0000)
N (0.8809, 0.8809, 0.0000)

Main lines, in order of rising 2θ (2θ from 10° to 80°):
| d_spacing | 2θ (°) | Rel. int. |
| --- | --- | --- |
| 3.181 | 28.1 | 100 |
| 2.690 | 33.3 | 76 |
| 2.553 | 35.1 | 39 |
| 2.521 | 35.6 | 49 |
| 2.475 | 36.3 | 45 |
| 2.278 | 39.6 | 30 |
| 2.033 | 44.6 | 27 |
| 1.805 | 50.6 | 39 |
| 1.570 | 58.8 | 27 |
| 1.468 | 63.4 | 35 |

Calculated PXRD pattern
Compound: PrTm2Se3
Radiation: Cu Kα (weighted mean of Kα1 and Kα2)
Structure: a cell relaxed with GGA-PBE

Lattice parameters (Å, degrees): 4.0541 4.0541 10.2208 90.00 90.00 120.00
Positions (direct):
Pr (0.0000, 0.0000, 0.0000)
Tm (0.3333, 0.6667, 0.6615)
Tm (0.6667, 0.3333, 0.3385)
Se (0.0000, 0.0000, 0.5000)
Se (0.3333, 0.6667, 0.1863)
Se (0.6667, 0.3333, 0.8136)

Main lines, in order of rising 2θ (2θ from 10° to 80°):
| d_spacing | 2θ (°) | Rel. int. |
| --- | --- | --- |
| 3.407 | 26.2 | 6 |
| 3.321 | 26.8 | 16 |
| 2.894 | 30.9 | 100 |
| 2.066 | 43.8 | 37 |
| 2.027 | 44.7 | 37 |
| 1.703 | 53.8 | 6 |
| 1.660 | 55.3 | 19 |
| 1.447 | 64.4 | 12 |
| 1.304 | 72.5 | 15 |
| 1.284 | 73.8 | 16 |